Calculated X-ray powder pattern of MgCu2O4 for Cu Ka, from DFT lattice parameters and positions (GGA-PBE).
Kinematic intensities with the Lorentz-polarization factor, no thermal factor.

Atomic structure:
Lattice parameters (Å, degrees): 8.400 8.400 8.400 90.00 90.00 90.00
Space group Fd-3m (No. 227, origin choice 2)
Symmetry-distinct sites (fractional):
Mg1 0.125 0.125 0.125 x8
Cu1 0.000 0.000 0.500 x16
O1 0.011 0.011 0.739 x32

Largest 12 diffraction maxima, by angle, 2θ = 10–80°:
- 2θ 18.29, intensity 82, hkl 1 1 1
- 2θ 30.09, intensity 8, hkl 2 2 0
- 2θ 35.44, intensity 100, hkl 3 1 1
- 2θ 37.07, intensity 23, hkl 2 2 2
- 2θ 43.07, intensity 59, hkl 4 0 0
- 2θ 47.16, intensity 10, hkl 3 3 1
- 2θ 56.96, intensity 38, hkl 5 1 1
- 2θ 62.55, intensity 55, hkl 4 4 0
- 2θ 65.77, intensity 13, hkl 5 3 1
- 2θ 74.00, intensity 10, hkl 5 3 3
- 2θ 75.00, intensity 12, hkl 6 2 2
- 2θ 78.97, intensity 9, hkl 4 4 4